Diffraction record for C. The X-ray diffraction stick pattern is simulated, not measured: it uses a crystal structure in the Materials Project, relaxed with PBE and Cu Kα (weighted mean of Kα1 and Kα2).
Intensities are scaled so that the largest is 100.

Structural model:
```
C
1.0
2.513 0.000 0.000
-1.257 2.176 0.000
0.000 0.000 4.181
C
4
direct
0.333 0.667 0.063 C
0.333 0.667 0.437 C
0.667 0.333 0.563 C
0.667 0.333 0.937 C
```

Largest 6 diffraction maxima, by angle, 15 to 90 degrees two-theta:
2theta	I_rel	hkl
41.49	100	1 0 0
43.28	56	0 0 2
47.07	54	1 0 1
61.50	21	1 0 2
75.69	40	1 1 0
82.11	41	1 0 3